Structure and theoretical XRD peak list of Ba2CeGe2S6 (a PBE-relaxed structure; CuKα).

Principal peaks in the range 2θ = 15–90°, in order of rising 2θ:
two_theta, d [Å], I/Imax
21.34, 4.164, 63
24.67, 3.608, 61
24.91, 3.575, 70
25.93, 3.436, 100
33.57, 2.669, 44
35.18, 2.551, 35
36.31, 2.474, 35
44.24, 2.048, 40
44.44, 2.039, 51
45.85, 1.979, 18

a b c (Å): 6.8852 6.8852 8.2707
angles (deg): 112.07 112.07 63.22
Fractional positions:
Ba: 0.2080 0.2080 0.1737
Ba: 0.7920 0.7920 0.8263
Ce: 0.0000 0.0000 0.5000
Ge: 0.4472 0.4472 0.8225
Ge: 0.5528 0.5528 0.1775
S: 0.1830 0.6987 0.2037
S: 0.2456 0.2456 0.5716
S: 0.3013 0.8170 0.7963
S: 0.6987 0.1830 0.2037
S: 0.7544 0.7544 0.4284
S: 0.8170 0.3013 0.7963

=====

Structure and theoretical XRD peak list of Cr2BiMoOsRh (a PBE-relaxed structure; CuKα).

Principal peaks in the range 2θ = 15–90°, in order of rising 2θ:
two_theta, d [Å], I/Imax
21.42, 4.148, 35
25.82, 3.450, 21
30.18, 2.961, 21
35.74, 2.513, 36
38.84, 2.319, 100
39.16, 2.300, 50
40.98, 2.202, 33
43.32, 2.089, 87
43.64, 2.074, 23
55.67, 1.651, 23

a b c (Å): 7.2334 7.2334 4.5144
angles (deg): 102.37 102.37 24.19
Fractional positions:
Cr: 0.0000 0.0000 0.0000
Cr: 0.6182 0.6182 0.0801
Bi: 0.3124 0.3124 0.9790
Mo: 0.4718 0.4718 0.4750
Os: 0.1266 0.1266 0.5998
Rh: 0.7871 0.7871 0.4677